Record 1
Structure and theoretical powder XRD pattern of KCd7Hg12 (a crystal structure in Alexandria, relaxed with PBE; Cu Kα).

Most intense lines, 2θ from 5° to 70°, in order of falling intensity:
two_theta  I_rel
25.63  100.0
30.43  92.5
48.29  84.0
40.20  59.6
32.59  45.9
36.56  44.9
19.79  35.3
51.24  34.0
28.13  31.6
67.05  29.6

```
data_KCd7Hg12
_cell_length_a 9.518
_cell_length_b 9.518
_cell_length_c 9.518
_cell_angle_alpha 109.47
_cell_angle_beta 109.47
_cell_angle_gamma 109.47
_space_group_name_H-M_alt 'P 1'
_space_group_IT_number 1
loop_
_space_group_symop_operation_xyz
'x,y,z'
loop_
_atom_site_label
_atom_site_fract_x
_atom_site_fract_y
_atom_site_fract_z
_atom_site_occupancy
K1 0.000 0.000 0.000 1
Cd1 0.000 0.000 0.500 1
Cd2 0.000 0.500 0.000 1
Cd3 0.000 0.500 0.500 1
Cd4 0.500 0.000 0.000 1
Cd5 0.500 0.000 0.500 1
Cd6 0.500 0.500 0.000 1
Cd7 0.500 0.500 0.500 1
Hg1 0.121 0.290 0.831 1
Hg2 0.169 0.458 0.290 1
Hg3 0.169 0.879 0.710 1
Hg4 0.290 0.169 0.458 1
Hg5 0.290 0.831 0.121 1
Hg6 0.458 0.290 0.169 1
Hg7 0.542 0.710 0.831 1
Hg8 0.710 0.169 0.879 1
Hg9 0.710 0.831 0.542 1
Hg10 0.831 0.121 0.290 1
Hg11 0.831 0.542 0.710 1
Hg12 0.879 0.710 0.169 1
```

---

Record 2
Structure and theoretical powder XRD pattern of KCd6Hg2 (a crystal structure in Alexandria, relaxed with PBE; Cu Kα).

Most intense lines, 2θ from 5° to 70°, in order of falling intensity:
two_theta  I_rel
36.89  100.0
38.66  66.7
31.77  59.4
19.05  38.5
68.81  31.2
31.28  25.2
20.75  24.7
58.05  22.4
55.83  22.3
38.36  19.9

```
data_KCd6Hg2
_cell_length_a 4.658
_cell_length_b 4.658
_cell_length_c 10.867
_cell_angle_alpha 90.00
_cell_angle_beta 90.00
_cell_angle_gamma 90.00
_space_group_name_H-M_alt 'P 1'
_space_group_IT_number 1
loop_
_space_group_symop_operation_xyz
'x,y,z'
loop_
_atom_site_label
_atom_site_fract_x
_atom_site_fract_y
_atom_site_fract_z
_atom_site_occupancy
K1 0.000 0.000 0.000 1
Cd1 0.000 0.000 0.500 1
Cd2 0.000 0.500 0.306 1
Cd3 0.000 0.500 0.694 1
Cd4 0.500 0.000 0.306 1
Cd5 0.500 0.000 0.694 1
Cd6 0.500 0.500 0.500 1
Hg1 0.500 0.500 0.134 1
Hg2 0.500 0.500 0.866 1
```

---

Record 3
Structure and theoretical powder XRD pattern of K2Cd6Hg3 (a crystal structure in Alexandria, relaxed with PBE; Cu Kα).

Most intense lines, 2θ from 5° to 70°, in order of falling intensity:
two_theta  I_rel
36.29  100.0
19.64  59.2
30.19  47.3
27.94  44.3
41.53  35.0
59.05  24.8
40.03  23.8
39.88  18.1
22.75  17.5
46.36  14.9

```
data_K2Cd6Hg3
_cell_length_a 9.053
_cell_length_b 9.053
_cell_length_c 4.505
_cell_angle_alpha 90.00
_cell_angle_beta 90.00
_cell_angle_gamma 120.00
_space_group_name_H-M_alt 'P 1'
_space_group_IT_number 1
loop_
_space_group_symop_operation_xyz
'x,y,z'
loop_
_atom_site_label
_atom_site_fract_x
_atom_site_fract_y
_atom_site_fract_z
_atom_site_occupancy
K1 0.333 0.667 0.000 1
K2 0.667 0.333 0.000 1
Cd1 0.000 0.268 0.500 1
Cd2 0.000 0.809 0.000 1
Cd3 0.191 0.191 0.000 1
Cd4 0.268 0.000 0.500 1
Cd5 0.732 0.732 0.500 1
Cd6 0.809 0.000 0.000 1
Hg1 0.000 0.591 0.500 1
Hg2 0.409 0.409 0.500 1
Hg3 0.591 0.000 0.500 1
```